No. 1
For TiCrO4, the GGA+U geometry in the Materials Project gives the theoretical X-ray diffraction stick pattern in this record (CuKα).
Intensities are scaled so that the largest is 100.

Cell and atoms:
```
TiCrO4
1.0
3.743 0.000 0.000
1.869 5.207 0.000
0.003 2.691 7.041
Ti Cr O
2 2 8
Direct
0.000 0.000 0.000
0.001 0.997 0.501
0.753 0.496 0.619
0.754 0.496 0.120
0.212 0.575 0.611
0.212 0.576 0.112
0.548 0.904 0.019
0.549 0.903 0.519
0.788 0.421 0.395
0.789 0.420 0.896
0.955 0.092 0.226
0.955 0.092 0.725
```

Peak list (12 most intense, 10° ≤ 2θ ≤ 80°, sorted by position)
| 2θ (°) | I_rel |
| --- | --- |
| 25.34 | 100 |
| 25.50 | 100 |
| 36.66 | 11 |
| 36.96 | 43 |
| 48.30 | 28 |
| 48.65 | 27 |
| 52.84 | 10 |
| 53.06 | 29 |
| 55.44 | 11 |
| 55.64 | 18 |
| 62.63 | 14 |
| 70.98 | 14 |

No. 2
For TlCrO3, the GGA+U geometry in the Materials Project gives the theoretical X-ray diffraction stick pattern in this record (CuKα).
Intensities are scaled so that the largest is 100.

Cell and atoms:
```
TlCrO3
1.0
5.522 0.000 0.000
0.000 7.819 0.000
0.000 0.000 5.417
Tl Cr O
4 4 12
Direct
0.046 0.250 0.014
0.454 0.750 0.514
0.546 0.250 0.486
0.954 0.750 0.986
0.000 0.000 0.500
0.000 0.500 0.500
0.500 0.000 0.000
0.500 0.500 0.000
0.051 0.750 0.394
0.199 0.558 0.803
0.199 0.942 0.803
0.301 0.058 0.303
0.301 0.442 0.303
0.449 0.250 0.894
0.551 0.750 0.106
0.699 0.558 0.697
0.699 0.942 0.697
0.801 0.058 0.197
0.801 0.442 0.197
0.949 0.250 0.606
```

Peak list (12 most intense, 10° ≤ 2θ ≤ 80°, sorted by position)
| 2θ (°) | I_rel |
| --- | --- |
| 22.75 | 21 |
| 23.00 | 35 |
| 32.43 | 21 |
| 32.57 | 100 |
| 33.07 | 24 |
| 39.98 | 12 |
| 40.52 | 14 |
| 46.45 | 13 |
| 47.00 | 20 |
| 53.90 | 12 |
| 57.94 | 12 |
| 58.76 | 22 |

No. 3
For TlCrO4, the GGA+U geometry in the Materials Project gives the theoretical X-ray diffraction stick pattern in this record (CuKα).
Intensities are scaled so that the largest is 100.

Cell and atoms:
```
TlCrO4
1.0
14.908 0.000 0.000
0.000 5.852 0.000
0.000 0.000 8.773
Tl Cr O
8 8 32
Direct
0.104 0.250 0.180
0.129 0.750 0.537
0.371 0.250 0.037
0.396 0.750 0.680
0.604 0.250 0.320
0.629 0.750 0.963
0.871 0.250 0.463
0.896 0.750 0.820
0.033 0.250 0.781
0.215 0.750 0.981
0.285 0.250 0.481
0.467 0.750 0.281
0.533 0.250 0.719
0.715 0.750 0.519
0.785 0.250 0.019
0.967 0.750 0.219
0.016 0.250 0.968
0.016 0.515 0.300
0.016 0.985 0.300
0.139 0.250 0.743
0.142 0.750 0.845
0.181 0.250 0.405
0.202 0.511 0.088
0.202 0.989 0.088
0.298 0.011 0.588
0.298 0.489 0.588
0.319 0.750 0.905
0.358 0.250 0.345
0.361 0.750 0.243
0.484 0.015 0.800
0.484 0.485 0.800
0.484 0.750 0.468
0.516 0.250 0.532
0.516 0.515 0.200
0.516 0.985 0.200
0.639 0.250 0.757
0.642 0.750 0.655
0.681 0.250 0.095
0.702 0.511 0.412
0.702 0.989 0.412
0.798 0.011 0.912
0.798 0.489 0.912
0.819 0.750 0.595
0.858 0.250 0.155
0.861 0.750 0.257
0.984 0.015 0.700
0.984 0.485 0.700
0.984 0.750 0.032
```

Peak list (12 most intense, 10° ≤ 2θ ≤ 80°, sorted by position)
| 2θ (°) | I_rel |
| --- | --- |
| 18.22 | 36 |
| 19.18 | 28 |
| 23.53 | 18 |
| 23.88 | 22 |
| 25.62 | 70 |
| 28.10 | 100 |
| 30.20 | 39 |
| 30.55 | 43 |
| 31.17 | 19 |
| 39.14 | 22 |
| 44.21 | 21 |
| 54.25 | 18 |

No. 4
For TlCr3O8, the GGA+U geometry in the Materials Project gives the theoretical X-ray diffraction stick pattern in this record (CuKα).
Intensities are scaled so that the largest is 100.

Cell and atoms:
```
TlCr3O8
1.0
4.501 -2.765 0.000
4.501 2.765 0.000
-0.476 0.000 7.978
Tl Cr O
1 3 8
Direct
0.000 0.000 0.000
0.000 0.000 0.500
0.364 0.364 0.703
0.636 0.636 0.297
0.216 0.216 0.569
0.216 0.718 0.675
0.282 0.784 0.325
0.316 0.316 0.896
0.684 0.684 0.104
0.718 0.216 0.675
0.784 0.282 0.325
0.784 0.784 0.431
```

Peak list (12 most intense, 10° ≤ 2θ ≤ 80°, sorted by position)
| 2θ (°) | I_rel |
| --- | --- |
| 18.84 | 43 |
| 19.76 | 39 |
| 22.18 | 100 |
| 28.87 | 63 |
| 29.80 | 34 |
| 30.85 | 13 |
| 32.38 | 24 |
| 33.70 | 13 |
| 34.04 | 41 |
| 39.60 | 28 |
| 45.33 | 12 |
| 58.79 | 17 |